The following is a theoretical powder diffractogram of LiVC2O6. It was derived from the GGA+U geometry in Alexandria, using a wavelength of 1.5418 Å.

Most intense lines, 10 to 90 degrees two-theta, in order of rising 2θ:
2theta	intensity	(hkl)
16.38	52.9	0 0 3
22.64	60.5	1 0 1
31.21	100.0	1 0 4
33.10	12.2	0 0 6
38.53	35.1	1 1 0
42.12	16.0	1 1 3
46.23	12.6	2 0 2
50.31	24.0	0 1 8
51.68	42.6	1 1 6
65.15	12.6	2 1 4

Crystal structure
```
data_LiVC2O6
_chemical_formula_sum 'Li3 V3 C6 O18'
_space_group_name_H-M_alt 'R 3 2'
_space_group_IT_number 155
_space_group_name_Hall 'R 3 2"'
_cell_length_a 4.6736
_cell_length_b 4.6736
_cell_length_c 16.2361
_cell_angle_alpha 90.00
_cell_angle_beta 90.00
_cell_angle_gamma 120.00
loop_
_atom_site_label
_atom_site_type_symbol
_atom_site_fract_x
_atom_site_fract_y
_atom_site_fract_z
_atom_site_occupancy
Li1 Li 0.0000 0.0000 0.0000 1
V1 V 0.0000 0.0000 0.5000 1
C1 C 0.0000 0.0000 0.2448 1
O1 O 0.0284 0.2903 0.2459 1
```


The following is a theoretical powder diffractogram of Li3V2C4O12. It was derived from the GGA+U geometry in Alexandria, using a wavelength of 1.5418 Å.

Most intense lines, 10 to 90 degrees two-theta, in order of rising 2θ:
2theta	intensity	(hkl)
18.36	14.8	0 1 -1
18.58	13.2	0 1 1
19.00	100.0	1 1 0
19.19	42.0	1 1 1
28.49	15.4	1 -1 0
30.10	16.0	0 2 0
31.95	12.9	0 2 -1
32.20	14.9	0 2 1
43.08	14.1	2 2 -1
47.42	9.9	2 1 -2

Crystal structure
```
data_Li3V2C4O12
_chemical_formula_sum 'Li3 V2 C4 O12'
_space_group_name_H-M_alt 'P 1'
_space_group_IT_number 1
_space_group_name_Hall 'P 1'
_cell_length_a 5.330
_cell_length_b 6.486
_cell_length_c 8.567
_cell_angle_alpha 83.69
_cell_angle_beta 72.56
_cell_angle_gamma 66.29
loop_
_atom_site_label
_atom_site_type_symbol
_atom_site_fract_x
_atom_site_fract_y
_atom_site_fract_z
_atom_site_occupancy
Li1 Li 0.000 0.000 0.000 1
Li2 Li 0.105 0.459 0.820 1
Li3 Li 0.395 0.869 0.364 1
V1 V 0.485 0.444 0.185 1
V2 V 0.728 0.937 0.673 1
C1 C 0.182 0.547 0.467 1
C2 C 0.570 0.340 0.886 1
C3 C 0.580 0.823 0.980 1
C4 C 0.769 0.058 0.375 1
O1 O 0.016 0.591 0.613 1
O2 O 0.106 0.503 0.347 1
O3 O 0.328 0.415 0.002 1
O4 O 0.409 0.884 0.888 1
O5 O 0.440 0.545 0.424 1
O6 O 0.503 0.754 0.129 1
O7 O 0.552 0.020 0.469 1
O8 O 0.569 0.282 0.749 1
O9 O 0.763 0.136 0.225 1
O10 O 0.795 0.330 0.925 1
O11 O 0.830 0.830 0.918 1
O12 O 0.982 0.017 0.429 1
```


The following is a theoretical powder diffractogram of LiVCO4. It was derived from the GGA+U geometry in Alexandria, using a wavelength of 1.5418 Å.

Most intense lines, 10 to 90 degrees two-theta, in order of rising 2θ:
2theta	intensity	(hkl)
13.31	100.0	0 1 1
18.94	29.2	0 2 0
21.06	35.5	0 1 2
29.65	28.5	1 1 0
33.53	33.2	1 0 -2
34.39	35.8	1 0 2
34.41	34.3	0 3 2
42.03	12.4	1 1 3
43.09	17.0	0 4 2
57.97	15.5	2 0 0

Crystal structure
```
data_LiVCO4
_chemical_formula_sum 'Li4 V4 C4 O16'
_space_group_name_H-M_alt 'P 1 21/c 1'
_space_group_IT_number 14
_space_group_name_Hall '-P 2ybc'
_cell_length_a 3.183
_cell_length_b 9.373
_cell_length_c 9.451
_cell_angle_alpha 90.00
_cell_angle_beta 91.55
_cell_angle_gamma 90.00
loop_
_atom_site_label
_atom_site_type_symbol
_atom_site_fract_x
_atom_site_fract_y
_atom_site_fract_z
_atom_site_occupancy
Li1 Li 0.248 0.191 0.411 1
V1 V 0.260 0.560 0.381 1
C1 C 0.244 0.632 0.832 1
O1 O 0.235 0.509 0.758 1
O2 O 0.242 0.628 0.965 1
O3 O 0.249 0.113 0.000 1
O4 O 0.260 0.749 0.260 1
```


The following is a theoretical powder diffractogram of Li2VC3O9. It was derived from the GGA+U geometry in Alexandria, using a wavelength of 1.5418 Å.

Most intense lines, 10 to 90 degrees two-theta, in order of rising 2θ:
2theta	intensity	(hkl)
13.32	19.6	0 1 1
16.17	100.0	1 1 1
18.35	52.2	0 2 0
19.37	89.0	0 0 2
22.72	41.4	2 1 1
26.82	44.0	0 2 2
38.44	11.2	1 4 0
38.89	9.9	3 2 2
39.33	10.2	0 0 4
39.61	13.2	4 1 1

Crystal structure
```
data_Li2VC3O9
_chemical_formula_sum 'Li8 V4 C12 O36'
_space_group_name_H-M_alt 'A m a 2'
_space_group_IT_number 40
_space_group_name_Hall 'A 2 -2a'
_cell_length_a 9.686
_cell_length_b 9.654
_cell_length_c 9.164
_cell_angle_alpha 90.00
_cell_angle_beta 90.00
_cell_angle_gamma 90.00
loop_
_atom_site_label
_atom_site_type_symbol
_atom_site_fract_x
_atom_site_fract_y
_atom_site_fract_z
_atom_site_occupancy
Li1 Li 0.250 0.019 0.000 1
Li2 Li 0.250 0.307 0.060 1
V1 V 0.250 0.202 0.474 1
C1 C 0.018 0.293 0.499 1
C2 C 0.250 0.006 0.306 1
O1 O 0.070 0.178 0.561 1
O2 O 0.106 0.175 0.003 1
O3 O 0.117 0.361 0.431 1
O4 O 0.250 0.144 0.277 1
O5 O 0.250 0.419 0.707 1
O6 O 0.250 0.486 0.948 1
```